Starting from DFT lattice parameters and positions (PBE+U), the powder X-ray diffraction pattern of Fe2As2H2PbO10 was calculated for copper Kα.
Kinematic intensities with the Lorentz-polarization factor, no thermal factor.

Peak list (12 most intense, 10° ≤ 2θ ≤ 90°, low angle first)
d_spacing	Rel. int.	(hkl)
4.684	99	1 1 -1
4.539	32	2 0 -1
3.292	100	1 1 -2
3.148	27	0 2 0
3.108	72	2 0 1
2.875	64	0 2 1
2.775	67	3 1 -1
2.606	39	1 1 2
2.590	37	3 1 -2
2.526	27	2 2 0
2.212	23	2 2 1
1.713	36	4 2 -3

```
data_Fe2As2H2PbO10
_cell_length_a 9.2739
_cell_length_b 6.2969
_cell_length_c 7.7249
_cell_angle_alpha 90.00
_cell_angle_beta 114.19
_cell_angle_gamma 90.00
_space_group_name_H-M_alt 'C 1 2/m 1'
_space_group_IT_number 12
loop_
_space_group_symop_operation_xyz
'x,y,z'
'-x,-y,-z'
'-x,y,-z'
'x,-y,z'
'x+1/2,y+1/2,z'
'-x+1/2,-y+1/2,-z'
'-x+1/2,y+1/2,-z'
'x+1/2,-y+1/2,z'
loop_
_atom_site_label
_atom_site_type_symbol
_atom_site_fract_x
_atom_site_fract_y
_atom_site_fract_z
_atom_site_occupancy
Fe1 Fe 0.2500 0.2500 0.0000 1
As1 As 0.0806 0.0000 0.2832 1
H1 H 0.2183 0.5000 0.2405 1
Pb1 Pb 0.0000 0.5000 0.5000 1
O1 O 0.0359 0.2257 0.7681 1
O2 O 0.1791 0.5000 0.1003 1
O3 O 0.1868 0.0000 0.1372 1
O4 O 0.2208 0.0000 0.5076 1
```